# CsNaNd2I8
Calculated powder X-ray diffraction pattern, copper Kα. Input: DFT lattice parameters and positions (PBE).
Neutral-atom scattering factors, no anomalous dispersion.

```
data_CsNaNd2I8
_cell_length_a 8.2479
_cell_length_b 8.2479
_cell_length_c 9.5864
_cell_angle_alpha 90.00
_cell_angle_beta 90.00
_cell_angle_gamma 120.00
_space_group_name_H-M_alt 'P 1'
_space_group_IT_number 1
loop_
_space_group_symop_operation_xyz
'x,y,z'
loop_
_atom_site_label
_atom_site_type_symbol
_atom_site_fract_x
_atom_site_fract_y
_atom_site_fract_z
_atom_site_occupancy
Cs1 Cs 0.0000 0.0000 0.0000 1
Na1 Na 0.0000 0.0000 0.5000 1
Nd1 Nd 0.3333 0.6667 0.4075 1
Nd2 Nd 0.6667 0.3333 0.5925 1
I1 I 0.0645 0.3712 0.6554 1
I2 I 0.3067 0.9355 0.6554 1
I3 I 0.3333 0.6667 0.0902 1
I4 I 0.3712 0.3067 0.3446 1
I5 I 0.6288 0.6933 0.6554 1
I6 I 0.6667 0.3333 0.9098 1
I7 I 0.6933 0.0645 0.3446 1
I8 I 0.9355 0.6288 0.3446 1
```

Main lines, sorted by position (2θ = 5–70°):
| Position (°2θ) | d_spacing | Rel. int. |
| --- | --- | --- |
| 9.23 | 9.586 | 50 |
| 23.48 | 3.788 | 91 |
| 26.64 | 3.347 | 55 |
| 28.55 | 3.126 | 100 |
| 37.78 | 2.381 | 87 |
| 43.90 | 2.062 | 50 |

# CsNaPrI6
Calculated powder X-ray diffraction pattern, copper Kα. Input: DFT lattice parameters and positions (PBE).
Neutral-atom scattering factors, no anomalous dispersion.

```
data_CsNaPrI6
_cell_length_a 6.4109
_cell_length_b 8.4379
_cell_length_c 8.7426
_cell_angle_alpha 97.51
_cell_angle_beta 90.05
_cell_angle_gamma 112.32
_space_group_name_H-M_alt 'P 1'
_space_group_IT_number 1
loop_
_space_group_symop_operation_xyz
'x,y,z'
loop_
_atom_site_label
_atom_site_type_symbol
_atom_site_fract_x
_atom_site_fract_y
_atom_site_fract_z
_atom_site_occupancy
Cs1 Cs 0.0000 0.0000 0.0000 1
Na1 Na 0.6597 0.3182 0.5584 1
Pr1 Pr 0.3584 0.7177 0.4430 1
I1 I 0.0160 0.5321 0.1350 1
I2 I 0.1873 0.3737 0.5895 1
I3 I 0.4984 0.9972 0.7456 1
I4 I 0.5148 0.5321 0.1350 1
I5 I 0.5205 0.0411 0.2650 1
I6 I 0.8662 0.7326 0.5518 1
```

Main lines, sorted by position (2θ = 5–70°):
| Position (°2θ) | d_spacing | Rel. int. |
| --- | --- | --- |
| 23.85 | 3.730 | 100 |
| 24.97 | 3.566 | 48 |
| 26.16 | 3.407 | 64 |
| 29.72 | 3.006 | 51 |
| 32.49 | 2.756 | 53 |
| 45.17 | 2.008 | 65 |

# CsNaPtI6
Calculated powder X-ray diffraction pattern, copper Kα. Input: DFT lattice parameters and positions (PBE).
Neutral-atom scattering factors, no anomalous dispersion.

```
data_CsNaPtI6
_cell_length_a 7.8594
_cell_length_b 7.8594
_cell_length_c 8.3559
_cell_angle_alpha 90.00
_cell_angle_beta 90.00
_cell_angle_gamma 120.00
_space_group_name_H-M_alt 'P 1'
_space_group_IT_number 1
loop_
_space_group_symop_operation_xyz
'x,y,z'
loop_
_atom_site_label
_atom_site_type_symbol
_atom_site_fract_x
_atom_site_fract_y
_atom_site_fract_z
_atom_site_occupancy
Cs1 Cs 0.0000 0.0000 0.0000 1
Na1 Na 0.3333 0.6667 0.5000 1
Pt1 Pt 0.6667 0.3333 0.5000 1
I1 I 0.3920 0.0473 0.6890 1
I2 I 0.3920 0.3447 0.3110 1
I3 I 0.6553 0.0473 0.3110 1
I4 I 0.6553 0.6080 0.6890 1
I5 I 0.9527 0.3447 0.6890 1
I6 I 0.9527 0.6080 0.3110 1
```

Main lines, sorted by position (2θ = 5–70°):
| Position (°2θ) | d_spacing | Rel. int. |
| --- | --- | --- |
| 10.59 | 8.356 | 52 |
| 13.01 | 6.806 | 56 |
| 16.80 | 5.277 | 92 |
| 25.04 | 3.556 | 100 |
| 31.25 | 2.862 | 92 |
| 39.70 | 2.270 | 55 |

# CsNaSmI5
Calculated powder X-ray diffraction pattern, copper Kα. Input: DFT lattice parameters and positions (PBE).
Neutral-atom scattering factors, no anomalous dispersion.

```
data_CsNaSmI5
_cell_length_a 8.9859
_cell_length_b 8.9859
_cell_length_c 11.9060
_cell_angle_alpha 101.74
_cell_angle_beta 101.74
_cell_angle_gamma 110.23
_space_group_name_H-M_alt 'P 1'
_space_group_IT_number 1
loop_
_space_group_symop_operation_xyz
'x,y,z'
loop_
_atom_site_label
_atom_site_type_symbol
_atom_site_fract_x
_atom_site_fract_y
_atom_site_fract_z
_atom_site_occupancy
Cs1 Cs 0.1609 0.8391 0.7500 1
Cs2 Cs 0.8391 0.1609 0.2500 1
Na1 Na 0.1869 0.8131 0.2500 1
Na2 Na 0.8131 0.1869 0.7500 1
Sm1 Sm 0.5000 0.5000 0.0000 1
Sm2 Sm 0.5000 0.5000 0.5000 1
I1 I 0.1379 0.2476 0.9393 1
I2 I 0.2072 0.5974 0.4165 1
I3 I 0.2476 0.1379 0.4393 1
I4 I 0.4026 0.7928 0.0835 1
I5 I 0.4341 0.5659 0.7500 1
I6 I 0.5659 0.4341 0.2500 1
I7 I 0.5974 0.2072 0.9165 1
I8 I 0.7524 0.8621 0.5607 1
I9 I 0.7928 0.4026 0.5835 1
I10 I 0.8621 0.7524 0.0607 1
```

Main lines, sorted by position (2θ = 5–70°):
| Position (°2θ) | d_spacing | Rel. int. |
| --- | --- | --- |
| 10.99 | 8.048 | 67 |
| 16.45 | 5.389 | 75 |
| 23.04 | 3.860 | 100 |
| 23.22 | 3.830 | 64 |
| 25.46 | 3.499 | 58 |
| 26.78 | 3.329 | 54 |